No. 1
Diffraction record for La2CuIrO6. The X-ray diffraction stick pattern is calculated, not measured: it uses a PBE-relaxed structure and λ = 1.5418 Å (Cu Kα).
No peak broadening, texture or thermal motion is included.

Crystal structure
```
20
Lattice="5.5668 0.0000 0.0000 0.0000 5.9166 0.0000 -5.5169 0.0000 7.7834" Properties=species:S:1:pos:R:3 pbc="T T T"
La -0.0826 0.3957 1.9443
La -2.8410 2.5626 5.8360
La 2.8910 3.3539 1.9474
La 0.1325 5.5209 5.8391
Cu -2.7584 0.0000 3.8917
Cu 0.0000 2.9583 0.0000
Ir 2.7834 0.0000 0.0000
Ir 0.0250 2.9583 3.8917
O -4.3961 1.1190 7.4062
O -1.6376 1.8392 3.5145
O -3.7462 4.2184 7.3525
O -0.9878 4.6564 3.4608
O -2.1953 0.1781 5.8302
O 0.5632 2.7802 1.9384
O -0.5132 3.1363 5.8450
O 2.2452 5.7385 1.9533
O 1.0377 1.2601 4.3227
O 3.7962 1.6982 0.4310
O 1.6876 4.0773 4.2689
O 4.4460 4.7975 0.3772
```

Main lines, by angle (15 to 90 degrees two-theta):
d_spacing	2theta	I (rel.)
4.710	18.84	24
3.596	24.76	20
2.958	30.21	44
2.814	31.80	99
2.801	31.95	100
2.783	32.16	51
2.027	44.70	40
1.946	46.68	26
1.808	50.47	19
1.677	54.72	21
1.615	57.01	22
1.608	57.30	22

***

No. 2
Diffraction record for Sr2La6Cu3IrO16. The X-ray diffraction stick pattern is calculated, not measured: it uses a PBE-relaxed structure and λ = 1.5418 Å (Cu Kα).
No peak broadening, texture or thermal motion is included.

Crystal structure
```
28
Lattice="8.5064 -2.7062 0.0000 8.5064 2.7062 0.0000 -7.1426 0.0000 8.4428" Properties=species:S:1:pos:R:3 pbc="T T T"
Sr 1.4050 0.0000 1.1210
Sr 8.4653 0.0000 7.3217
La -2.1424 0.0000 5.4150
La 1.8607 0.0000 5.0417
La 5.3482 0.0000 0.9428
La 4.5221 0.0000 7.5000
La 8.0096 0.0000 3.4011
La 12.0127 0.0000 3.0278
Cu -5.2716 0.0000 6.3574
Cu 4.9351 0.0000 4.2214
Cu 15.1418 0.0000 2.0854
Ir 8.5064 0.0000 0.0000
O -3.4983 0.0000 7.8865
O -0.1872 0.0000 4.0411
O 2.1629 1.3368 7.1798
O 5.7325 1.3833 3.1221
O 4.1378 1.3833 5.3207
O 7.7074 1.3368 1.2630
O 3.0884 0.0000 2.8634
O -0.3937 0.0000 7.2448
O 10.2640 0.0000 1.1979
O 6.7819 0.0000 5.5794
O 2.1629 -1.3368 7.1798
O 5.7325 -1.3833 3.1221
O 4.1378 -1.3833 5.3207
O 7.7074 -1.3368 1.2630
O 10.0574 0.0000 4.4016
O 13.3686 0.0000 0.5563
```

Main lines, by angle (15 to 90 degrees two-theta):
d_spacing	2theta	I (rel.)
2.890	30.94	100
2.879	31.06	93
2.765	32.38	61
2.706	33.10	61
2.163	41.77	40
2.153	41.97	22
2.079	43.53	13
1.934	46.99	59
1.622	56.76	27
1.615	57.01	17
1.595	57.82	35
1.445	64.49	17

***

No. 3
Diffraction record for Mg2CuIrO6. The X-ray diffraction stick pattern is calculated, not measured: it uses a PBE-relaxed structure and λ = 1.5418 Å (Cu Kα).
No peak broadening, texture or thermal motion is included.

Crystal structure
```
20
Lattice="5.0729 0.0000 0.0000 0.0000 5.3035 0.0000 -4.9446 0.0000 7.7174" Properties=species:S:1:pos:R:3 pbc="T T T"
Mg -0.0471 0.3673 1.9068
Mg -2.5194 2.2845 5.7655
Mg 2.6478 3.0190 1.9519
Mg 0.1755 4.9362 5.8106
Cu -2.4723 0.0000 3.8587
Cu 0.0000 2.6517 0.0000
Ir 2.5365 0.0000 0.0000
Ir 0.0642 2.6517 3.8587
O -4.0188 0.9677 7.1616
O -1.5465 1.6840 3.3029
O -3.2871 3.6555 7.1075
O -0.8148 4.2998 3.2488
O -1.7101 0.3895 5.9035
O 0.7622 2.2623 2.0448
O -0.6338 3.0412 5.6726
O 1.8385 4.9140 1.8139
O 0.9432 1.0037 4.4686
O 3.4155 1.6480 0.6099
O 1.6749 3.6195 4.4145
O 4.1472 4.3357 0.5558
```

Main lines, by angle (15 to 90 degrees two-theta):
d_spacing	2theta	I (rel.)
4.371	20.32	49
4.271	20.80	20
4.207	21.12	24
3.859	23.05	53
3.666	24.28	100
2.674	33.52	74
2.652	33.80	32
2.642	33.93	68
2.536	35.39	27
2.185	41.31	20
1.833	49.75	29
1.698	53.99	18

***

No. 4
Diffraction record for MgCu2Ir4S8. The X-ray diffraction stick pattern is calculated, not measured: it uses a PBE-relaxed structure and λ = 1.5418 Å (Cu Kα).
No peak broadening, texture or thermal motion is included.

Crystal structure
```
15
Lattice="-3.5820 3.7050 5.0424 3.5820 -3.7050 5.0424 3.5820 3.7050 -5.0424" Properties=species:S:1:pos:R:3 pbc="T T T"
Mg 0.0000 0.0000 0.0000
Cu 3.5820 0.0000 0.5086
Cu 0.0000 0.0000 7.4756
Ir 1.8270 3.7050 -0.7001
Ir 1.7550 0.0000 4.3423
Ir 0.0000 1.8957 1.8354
Ir 0.0000 5.5144 1.8354
S 1.6216 0.0000 1.9243
S 5.5425 0.0000 1.9243
S 3.5820 2.0722 -0.8305
S 3.5820 -1.4844 4.3998
S 3.5820 1.4844 4.3998
S 0.0000 1.6328 4.2119
S 1.5335 3.7050 1.6584
S 2.0485 0.0000 6.7008
```

Main lines, by angle (15 to 90 degrees two-theta):
d_spacing	2theta	I (rel.)
5.840	15.17	96
3.129	28.53	94
3.072	29.07	88
3.061	29.17	51
2.986	29.93	45
2.920	30.61	51
2.575	34.84	90
2.521	35.61	55
1.993	45.52	49
1.969	46.11	37
1.853	49.18	31
1.802	50.67	100